1.
# Li3Mn2P2C2O14
Simulated X-ray diffraction stick pattern, Cu Kα X-rays. Input: a cell relaxed with GGA+U.
Peak positions follow from Bragg's law for the DFT cell and can differ from measured ones.

Principal peaks in the range 15° ≤ 2θ ≤ 90°, sorted by position:
2θ = 17.38°, I = 54; 2θ = 19.91°, I = 42; 2θ = 21.25°, I = 56; 2θ = 22.35°, I = 26; 2θ = 25.37°, I = 35; 2θ = 26.78°, I = 45; 2θ = 27.59°, I = 100; 2θ = 36.46°, I = 22

abc: 9.4315 6.4659 10.0591
angles: 90.00 117.54 90.00
Element x y z (fractional)
Li (0.0012, 0.0000, 0.2479)
Li (0.0033, 0.4740, 0.2499)
Li (0.4880, 0.9483, 0.2503)
Li (0.5120, 0.4483, 0.7497)
Li (0.9967, 0.9740, 0.7501)
Li (0.9988, 0.5000, 0.7521)
Mn (0.2346, 0.2405, 0.0653)
Mn (0.2772, 0.7416, 0.4411)
Mn (0.7228, 0.2416, 0.5589)
Mn (0.7654, 0.7405, 0.9347)
P (0.1496, 0.7383, 0.0690)
P (0.3445, 0.2381, 0.4223)
P (0.6555, 0.7381, 0.5777)
P (0.8504, 0.2383, 0.9310)
C (0.1668, 0.7297, 0.6176)
C (0.3289, 0.2423, 0.8774)
C (0.6711, 0.7423, 0.1226)
C (0.8332, 0.2297, 0.3824)
O (0.0222, 0.2449, 0.0704)
O (0.0802, 0.7420, 0.4707)
O (0.1094, 0.7344, 0.7079)
O (0.1265, 0.7427, 0.2126)
O (0.1738, 0.2357, 0.8460)
O (0.2390, 0.5468, 0.0584)
O (0.2435, 0.4289, 0.4155)
O (0.2472, 0.0521, 0.4318)
O (0.2497, 0.9257, 0.0661)
O (0.3192, 0.7143, 0.6570)
O (0.3715, 0.2170, 0.2819)
O (0.3732, 0.2577, 0.7802)
O (0.4207, 0.2348, 0.0224)
O (0.4854, 0.7559, 0.4400)
O (0.5146, 0.2559, 0.5600)
O (0.5793, 0.7348, 0.9776)
O (0.6268, 0.7577, 0.2198)
O (0.6285, 0.7170, 0.7181)
O (0.6808, 0.2143, 0.3430)
O (0.7503, 0.4257, 0.9339)
O (0.7528, 0.5521, 0.5682)
O (0.7565, 0.9289, 0.5845)
O (0.7610, 0.0468, 0.9416)
O (0.8262, 0.7357, 0.1540)
O (0.8735, 0.2427, 0.7874)
O (0.8906, 0.2344, 0.2921)
O (0.9198, 0.2420, 0.5293)
O (0.9778, 0.7449, 0.9296)

=====

2.
# KNa7V7MoO24
Simulated X-ray diffraction stick pattern, Cu Kα X-rays. Input: a cell relaxed with GGA+U.
Peak positions follow from Bragg's law for the DFT cell and can differ from measured ones.

Principal peaks in the range 15° ≤ 2θ ≤ 90°, sorted by position:
2θ = 23.37°, I = 67; 2θ = 33.29°, I = 100; 2θ = 47.80°, I = 64; 2θ = 53.87°, I = 21; 2θ = 59.50°, I = 35; 2θ = 69.91°, I = 33; 2θ = 79.67°, I = 14; 2θ = 89.13°, I = 10

abc: 7.6114 7.6114 7.6114
angles: 89.98 89.98 89.98
Element x y z (fractional)
K (0.0000, 0.0000, 0.0000)
Na (0.0018, 0.0018, 0.4912)
Na (0.0018, 0.4912, 0.0018)
Na (0.0018, 0.4911, 0.4911)
Na (0.4912, 0.0018, 0.0018)
Na (0.4911, 0.0018, 0.4911)
Na (0.4911, 0.4911, 0.0018)
Na (0.4912, 0.4912, 0.4912)
V (0.2471, 0.7459, 0.7459)
V (0.2482, 0.2482, 0.2482)
V (0.2481, 0.2481, 0.7458)
V (0.2481, 0.7458, 0.2481)
V (0.7459, 0.2471, 0.7459)
V (0.7458, 0.2481, 0.2481)
V (0.7459, 0.7459, 0.2471)
Mo (0.7456, 0.7456, 0.7456)
O (0.2477, 0.2477, 0.4963)
O (0.2477, 0.4963, 0.2477)
O (0.2476, 0.4969, 0.7449)
O (0.2476, 0.7449, 0.4969)
O (0.2499, 0.2499, 0.9961)
O (0.2496, 0.7430, 0.9955)
O (0.2496, 0.9955, 0.7430)
O (0.2499, 0.9961, 0.2499)
O (0.4941, 0.7450, 0.7450)
O (0.4963, 0.2477, 0.2477)
O (0.4969, 0.2476, 0.7449)
O (0.4969, 0.7449, 0.2476)
O (0.7430, 0.2496, 0.9955)
O (0.7435, 0.7435, 0.9982)
O (0.7430, 0.9955, 0.2496)
O (0.7435, 0.9982, 0.7435)
O (0.7449, 0.2476, 0.4969)
O (0.7450, 0.4941, 0.7450)
O (0.7449, 0.4969, 0.2476)
O (0.7450, 0.7450, 0.4941)
O (0.9955, 0.2496, 0.7430)
O (0.9955, 0.7430, 0.2496)
O (0.9961, 0.2499, 0.2499)
O (0.9982, 0.7435, 0.7435)

=====

3.
# Na3Ni2P2C2O14
Simulated X-ray diffraction stick pattern, Cu Kα X-rays. Input: a cell relaxed with GGA+U.
Peak positions follow from Bragg's law for the DFT cell and can differ from measured ones.

Principal peaks in the range 15° ≤ 2θ ≤ 90°, sorted by position:
2θ = 16.71°, I = 54; 2θ = 16.97°, I = 52; 2θ = 20.06°, I = 52; 2θ = 21.95°, I = 57; 2θ = 25.98°, I = 76; 2θ = 27.40°, I = 100; 2θ = 34.32°, I = 60; 2θ = 34.69°, I = 55

abc: 8.3069 8.3266 10.2205
angles: 108.16 106.81 103.06
Element x y z (fractional)
Na (0.0054, 0.4916, 0.2491)
Na (0.2461, 0.2441, 0.2471)
Na (0.2750, 0.2315, 0.7440)
Na (0.7250, 0.7685, 0.2560)
Na (0.7539, 0.7559, 0.7529)
Na (0.9946, 0.5084, 0.7509)
Ni (0.1934, 0.9386, 0.3480)
Ni (0.3095, 0.5633, 0.6535)
Ni (0.6905, 0.4367, 0.3465)
Ni (0.8066, 0.0614, 0.6520)
P (0.0487, 0.8016, 0.5722)
P (0.4438, 0.6950, 0.4253)
P (0.5562, 0.3050, 0.5747)
P (0.9513, 0.1984, 0.4278)
C (0.0172, 0.7725, 0.0758)
C (0.4762, 0.7328, 0.9231)
C (0.5238, 0.2672, 0.0769)
C (0.9828, 0.2275, 0.9242)
O (0.0275, 0.2714, 0.8245)
O (0.0308, 0.0915, 0.3261)
O (0.0716, 0.3129, 0.0620)
O (0.0988, 0.3402, 0.5791)
O (0.1472, 0.7126, 0.6645)
O (0.1615, 0.9109, 0.1331)
O (0.1761, 0.9332, 0.5360)
O (0.3184, 0.5601, 0.4625)
O (0.3248, 0.7624, 0.3244)
O (0.3324, 0.5911, 0.8659)
O (0.4090, 0.1568, 0.4293)
O (0.4335, 0.1843, 0.9406)
O (0.4781, 0.4143, 0.6772)
O (0.4817, 0.2217, 0.1763)
O (0.5183, 0.7783, 0.8237)
O (0.5219, 0.5857, 0.3228)
O (0.5665, 0.8157, 0.0594)
O (0.5910, 0.8432, 0.5707)
O (0.6676, 0.4089, 0.1341)
O (0.6752, 0.2376, 0.6756)
O (0.6816, 0.4399, 0.5375)
O (0.8239, 0.0668, 0.4640)
O (0.8385, 0.0891, 0.8669)
O (0.8528, 0.2874, 0.3355)
O (0.9012, 0.6598, 0.4209)
O (0.9284, 0.6871, 0.9380)
O (0.9692, 0.9085, 0.6739)
O (0.9725, 0.7286, 0.1755)

=====

4.
# NaFe5O8
Simulated X-ray diffraction stick pattern, Cu Kα X-rays. Input: a cell relaxed with GGA+U.
Peak positions follow from Bragg's law for the DFT cell and can differ from measured ones.

Principal peaks in the range 15° ≤ 2θ ≤ 90°, sorted by position:
2θ = 17.81°, I = 21; 2θ = 29.39°, I = 34; 2θ = 34.58°, I = 29; 2θ = 34.81°, I = 100; 2θ = 42.21°, I = 23; 2θ = 55.79°, I = 15; 2θ = 60.98°, I = 27; 2θ = 61.46°, I = 30

abc: 6.0782 6.0782 6.0782
angles: 59.53 59.53 59.53
Element x y z (fractional)
Na (0.0000, 0.0000, 0.0000)
Fe (0.0000, 0.0000, 0.5000)
Fe (0.0000, 0.5000, 0.0000)
Fe (0.3826, 0.3826, 0.3826)
Fe (0.5000, 0.0000, 0.0000)
Fe (0.6174, 0.6174, 0.6174)
O (0.2318, 0.7416, 0.7416)
O (0.2468, 0.2468, 0.2468)
O (0.2584, 0.2584, 0.7682)
O (0.2584, 0.7682, 0.2584)
O (0.7416, 0.2318, 0.7416)
O (0.7416, 0.7416, 0.2318)
O (0.7532, 0.7532, 0.7532)
O (0.7682, 0.2584, 0.2584)